This entry pairs a crystal structure of PuTcO with its theoretical powder XRD pattern. Radiation: λ = 1.5418 Å (Cu Kα). Structure: a cell relaxed with PBE.

Atomic structure:
```
6
Lattice="1.675 -9.213 0.000 1.675 9.213 0.000 0.000 0.000 3.408" Properties=species:S:1:pos:R:3 pbc="T T T"
Pu 1.675 7.354 2.556
Pu 1.675 -7.354 0.852
Tc 1.675 4.605 0.852
Tc 1.675 -4.605 2.556
O 1.675 1.425 2.556
O 1.675 -1.425 0.852
```

Largest 8 diffraction maxima, by intensity, 2θ = 5–70°:
| two_theta | d (Å) | I/Imax |
| --- | --- | --- |
| 40.52 | 2.226 | 1000 |
| 27.92 | 3.196 | 506 |
| 29.08 | 3.071 | 486 |
| 27.06 | 3.296 | 374 |
| 36.24 | 2.479 | 292 |
| 59.46 | 1.554 | 166 |
| 68.42 | 1.371 | 135 |
| 19.27 | 4.606 | 126 |


This entry pairs a crystal structure of Ti2Cd3Pd2 with its theoretical powder XRD pattern. Radiation: λ = 1.5418 Å (Cu Kα). Structure: a cell relaxed with PBE.

Atomic structure:
```
7
Lattice="1.485 -14.670 0.000 1.485 14.670 0.000 0.000 0.000 2.969" Properties=species:S:1:pos:R:3 pbc="T T T"
Ti 1.485 8.483 0.000
Ti 1.485 -8.483 0.000
Cd 1.485 12.241 0.000
Cd 1.485 0.000 1.484
Cd 1.485 -12.241 0.000
Pd 1.485 4.455 1.484
Pd 1.485 -4.455 1.484
```

Largest 8 diffraction maxima, by intensity, 2θ = 5–70°:
| two_theta | d (Å) | I/Imax |
| --- | --- | --- |
| 37.09 | 2.424 | 1000 |
| 43.18 | 2.095 | 941 |
| 35.37 | 2.538 | 887 |
| 6.02 | 14.670 | 380 |
| 60.19 | 1.537 | 349 |
| 12.07 | 7.335 | 255 |
| 39.03 | 2.308 | 237 |
| 62.55 | 1.485 | 235 |


This entry pairs a crystal structure of KBa5Ir with its theoretical powder XRD pattern. Radiation: λ = 1.5418 Å (Cu Kα). Structure: a cell relaxed with PBE.

Atomic structure:
```
14
Lattice="-5.196 6.188 6.999 5.196 -6.188 6.999 5.196 6.188 -6.999" Properties=species:S:1:pos:R:3 pbc="T T T"
K 0.000 3.094 1.997
K 5.196 3.094 5.002
Ba 2.237 0.000 0.000
Ba 8.155 0.000 0.000
Ba 5.196 -0.853 2.936
Ba 5.196 5.335 -2.936
Ba 5.196 3.094 0.852
Ba 2.237 6.188 0.000
Ba 2.959 0.000 6.999
Ba 0.000 3.094 6.147
Ba 0.000 0.853 9.935
Ba 0.000 7.040 4.062
Ir 5.196 0.000 0.000
Ir 0.000 0.000 6.999
```

Largest 8 diffraction maxima, by intensity, 2θ = 5–70°:
| two_theta | d (Å) | I/Imax |
| --- | --- | --- |
| 10.60 | 8.344 | 1000 |
| 14.31 | 6.188 | 617 |
| 26.51 | 3.363 | 468 |
| 12.65 | 6.999 | 378 |
| 29.32 | 3.046 | 373 |
| 17.06 | 5.196 | 312 |
| 31.62 | 2.830 | 306 |
| 25.45 | 3.500 | 273 |


This entry pairs a crystal structure of LaGa4Ag4 with its theoretical powder XRD pattern. Radiation: λ = 1.5418 Å (Cu Kα). Structure: a cell relaxed with PBE.

Atomic structure:
```
18
Lattice="6.303 0.000 0.000 0.000 6.303 0.000 0.000 0.000 9.146" Properties=species:S:1:pos:R:3 pbc="T T T"
La 1.576 4.727 2.287
La 4.727 1.576 6.860
Ga 0.230 1.576 0.469
Ga 1.576 0.230 5.042
Ga 1.576 2.922 5.042
Ga 2.922 1.576 0.469
Ga 3.381 4.727 8.677
Ga 4.727 3.381 4.104
Ga 4.727 6.073 4.104
Ga 6.073 4.727 8.677
Ag 0.161 1.576 3.118
Ag 1.576 0.161 7.692
Ag 1.576 2.990 7.692
Ag 2.990 1.576 3.118
Ag 3.312 4.727 6.028
Ag 4.727 3.312 1.455
Ag 4.727 6.142 1.455
Ag 6.142 4.727 6.028
```

Largest 8 diffraction maxima, by intensity, 2θ = 5–70°:
| two_theta | d (Å) | I/Imax |
| --- | --- | --- |
| 33.26 | 2.694 | 1000 |
| 41.20 | 2.191 | 604 |
| 40.48 | 2.228 | 278 |
| 42.03 | 2.150 | 223 |
| 32.63 | 2.745 | 218 |
| 58.59 | 1.576 | 178 |
| 67.44 | 1.389 | 156 |
| 27.95 | 3.192 | 126 |